# La8AsRh3Br4
Simulated powder diffractogram, CuKα. Input: a DFT-relaxed cell (GGA-PBE, Alexandria).

Crystal structure
```
data_La8AsRh3Br4
_cell_length_a 8.5326
_cell_length_b 8.5326
_cell_length_c 23.3204
_cell_angle_alpha 90.00
_cell_angle_beta 90.00
_cell_angle_gamma 120.00
_space_group_name_H-M_alt 'R -3 m'
_space_group_IT_number 166
_space_group_name_Hall '-R 3 2"'
loop_
_atom_site_label
_atom_site_type_symbol
_atom_site_fract_x
_atom_site_fract_y
_atom_site_fract_z
La1 La 0.0000 0.0000 0.2332
La2 La 0.0131 0.5066 0.7663
As1 As 0.0000 0.0000 0.5000
Rh1 Rh 0.0000 0.5000 0.5000
Br1 Br 0.0000 0.0000 0.0000
Br2 Br 0.0000 0.5000 0.0000
```

The 10 most intense peaks (5 to 70 degrees two-theta), by angle:
(hkl)	two_theta	I/Imax
0 0 3	11.38	153
0 2 4	28.60	1000
0 2 7	36.31	111
2 0 8	39.37	303
2 2 0	42.37	374
2 0 11	49.57	82
4 0 4	51.92	184
0 2 13	57.05	76
0 4 8	59.21	89
2 4 4	69.17	151

***

# La8As3SBr4
Simulated powder diffractogram, CuKα. Input: a DFT-relaxed cell (GGA-PBE, Alexandria).

Crystal structure
```
data_La8As3SBr4
_cell_length_a 8.6530
_cell_length_b 8.6530
_cell_length_c 21.7688
_cell_angle_alpha 90.00
_cell_angle_beta 90.00
_cell_angle_gamma 120.00
_space_group_name_H-M_alt 'R -3 m'
_space_group_IT_number 166
_space_group_name_Hall '-R 3 2"'
loop_
_atom_site_label
_atom_site_type_symbol
_atom_site_fract_x
_atom_site_fract_y
_atom_site_fract_z
La1 La 0.0000 0.0000 0.2398
La2 La 0.0125 0.5063 0.2377
As1 As 0.0000 0.5000 0.5000
S1 S 0.0000 0.0000 0.5000
Br1 Br 0.0000 0.0000 0.0000
Br2 Br 0.0000 0.5000 0.0000
```

The 10 most intense peaks (5 to 70 degrees two-theta), by angle:
(hkl)	two_theta	I/Imax
2 0 2	25.14	121
0 2 4	28.93	1000
2 0 5	31.50	62
2 0 8	40.99	323
2 2 0	41.75	383
4 0 4	51.60	193
2 2 9	57.12	58
0 4 8	59.95	102
2 2 12	67.37	105
2 4 4	68.46	161

***

# La3SbAsBr
Simulated powder diffractogram, CuKα. Input: a DFT-relaxed cell (GGA-PBE, Alexandria).

Crystal structure
```
data_La3SbAsBr
_cell_length_a 8.780
_cell_length_b 4.517
_cell_length_c 10.095
_cell_angle_alpha 90.00
_cell_angle_beta 104.43
_cell_angle_gamma 90.00
_space_group_name_H-M_alt 'P 1 21/m 1'
_space_group_IT_number 11
loop_
_space_group_symop_operation_xyz
'x,y,z'
'-x,-y,-z'
'-x,y+1/2,-z'
'x,-y+1/2,z'
loop_
_atom_site_label
_atom_site_type_symbol
_atom_site_fract_x
_atom_site_fract_y
_atom_site_fract_z
La1 La 0.068 0.250 0.349
La2 La 0.214 0.250 0.993
La3 La 0.398 0.750 0.622
Sb1 Sb 0.307 0.750 0.269
As1 As 0.165 0.250 0.653
Br1 Br 0.392 0.750 0.912
```

The 10 most intense peaks (5 to 70 degrees two-theta), by angle:
(hkl)	two_theta	I/Imax
1 1 -2	27.15	202
0 0 3	27.37	463
2 1 -1	28.62	363
2 1 0	28.84	1000
1 1 -3	33.41	262
0 1 3	33.92	213
2 1 -3	36.21	205
0 2 0	39.92	364
0 2 3	49.08	185
4 2 -1	58.66	224

***

# Na2AsBr4
Simulated powder diffractogram, CuKα. Input: a DFT-relaxed cell (GGA-PBE, Alexandria).

Crystal structure
```
data_Na2AsBr4
_cell_length_a 7.401
_cell_length_b 7.401
_cell_length_c 8.139
_cell_angle_alpha 90.00
_cell_angle_beta 90.00
_cell_angle_gamma 90.00
_space_group_name_H-M_alt 'I -4 2 m'
_space_group_IT_number 121
_space_group_name_Hall 'I -4 2'
loop_
_atom_site_label
_atom_site_type_symbol
_atom_site_fract_x
_atom_site_fract_y
_atom_site_fract_z
Na1 Na 0.000 0.500 0.250
As1 As 0.000 0.000 0.000
Br1 Br 0.250 0.250 0.054
```

The 10 most intense peaks (5 to 70 degrees two-theta), by angle:
(hkl)	two_theta	I/Imax
1 0 1	16.19	373
0 0 2	21.84	627
2 0 0	24.05	502
1 1 2	27.77	997
2 0 2	32.71	567
2 2 0	34.27	1000
2 2 2	41.01	468
3 1 2	44.67	528
1 1 4	47.97	378
3 1 4	60.27	378